Record 1
Structure and computed powder XRD pattern of MgFe2O3 (a crystal structure in the Materials Project, relaxed with GGA+U; Cu Kα, 1.54184 Å).
Lines closer than 0.1° are merged.

Cell and atoms:
```
data_MgFe2O3
_chemical_formula_sum 'Mg1 Fe2 O3'
_cell_length_a 3.079
_cell_length_b 3.106
_cell_length_c 6.756
_cell_angle_alpha 102.28
_cell_angle_beta 101.59
_cell_angle_gamma 91.25
_space_group_name_H-M_alt 'P 1'
_space_group_IT_number 1
_space_group_name_Hall 'P 1'
loop_
_atom_site_label
_atom_site_fract_x
_atom_site_fract_y
_atom_site_fract_z
Mg1 0.000 0.000 0.000
Fe1 0.336 0.332 0.666
Fe2 0.664 0.668 0.334
O1 0.161 0.165 0.328
O2 0.500 0.500 0.000
O3 0.839 0.835 0.672
```

The 10 most intense peaks (2θ from 15° to 90°), in order of rising 2θ:
| two_theta | d/Å | I_rel |
| --- | --- | --- |
| 35.45 | 2.532 | 72.7 |
| 35.89 | 2.502 | 35.2 |
| 36.28 | 2.476 | 34.1 |
| 40.83 | 2.210 | 100.0 |
| 41.78 | 2.162 | 93.0 |
| 42.00 | 2.151 | 91.3 |
| 59.55 | 1.552 | 28.2 |
| 59.77 | 1.547 | 27.8 |
| 59.87 | 1.545 | 27.6 |
| 60.13 | 1.539 | 27.3 |

---

Record 2
Structure and computed powder XRD pattern of MgFe4O8 (a crystal structure in the Materials Project, relaxed with GGA+U; Cu Kα, 1.54184 Å).
Lines closer than 0.1° are merged.

Cell and atoms:
```
data_MgFe4O8
_chemical_formula_sum 'Mg1 Fe4 O8'
_cell_length_a 3.008
_cell_length_b 7.695
_cell_length_c 8.090
_cell_angle_alpha 83.94
_cell_angle_beta 80.19
_cell_angle_gamma 82.96
_space_group_name_H-M_alt 'P 1'
_space_group_IT_number 1
_space_group_name_Hall 'P 1'
loop_
_atom_site_label
_atom_site_fract_x
_atom_site_fract_y
_atom_site_fract_z
Mg1 0.000 0.000 0.000
Fe1 0.318 0.086 0.344
Fe2 0.319 0.684 0.905
Fe3 0.680 0.064 0.664
Fe4 0.887 0.355 0.980
O1 0.186 0.199 0.556
O2 0.194 0.907 0.764
O3 0.298 0.483 0.069
O4 0.525 0.187 0.890
O5 0.538 0.822 0.041
O6 0.818 0.950 0.439
O7 0.866 0.166 0.187
O8 0.920 0.564 0.810
```

The 10 most intense peaks (2θ from 15° to 90°), in order of rising 2θ:
| two_theta | d/Å | I_rel |
| --- | --- | --- |
| 15.41 | 5.748 | 100.0 |
| 16.82 | 5.271 | 28.5 |
| 22.39 | 3.971 | 17.3 |
| 23.38 | 3.804 | 15.4 |
| 24.37 | 3.653 | 15.4 |
| 33.82 | 2.650 | 21.6 |
| 34.03 | 2.634 | 18.3 |
| 34.90 | 2.571 | 28.2 |
| 35.37 | 2.538 | 30.3 |
| 61.75 | 1.502 | 15.3 |

---

Record 3
Structure and computed powder XRD pattern of MgFe2O4 (a crystal structure in the Materials Project, relaxed with GGA+U; Cu Kα, 1.54184 Å).
Lines closer than 0.1° are merged.

Cell and atoms:
```
data_MgFe2O4
_chemical_formula_sum 'Mg4 Fe8 O16'
_cell_length_a 2.940
_cell_length_b 10.444
_cell_length_c 8.999
_cell_angle_alpha 90.00
_cell_angle_beta 90.00
_cell_angle_gamma 90.00
_space_group_name_H-M_alt 'P 1'
_space_group_IT_number 1
_space_group_name_Hall 'P 1'
loop_
_atom_site_label
_atom_site_fract_x
_atom_site_fract_y
_atom_site_fract_z
Mg1 0.000 0.093 0.000
Mg2 0.000 0.907 0.500
Mg3 0.500 0.401 0.506
Mg4 0.500 0.599 0.006
Fe1 0.000 0.133 0.319
Fe2 0.000 0.350 0.834
Fe3 0.000 0.650 0.334
Fe4 0.000 0.867 0.819
Fe5 0.500 0.146 0.669
Fe6 0.500 0.365 0.185
Fe7 0.500 0.635 0.685
Fe8 0.500 0.854 0.169
O1 0.000 0.036 0.719
O2 0.000 0.274 0.625
O3 0.000 0.325 0.343
O4 0.000 0.431 0.043
O5 0.000 0.569 0.543
O6 0.000 0.675 0.843
O7 0.000 0.726 0.125
O8 0.000 0.964 0.219
O9 0.500 0.070 0.463
O10 0.500 0.175 0.160
O11 0.500 0.212 0.875
O12 0.500 0.463 0.778
O13 0.500 0.537 0.278
O14 0.500 0.788 0.375
O15 0.500 0.825 0.660
O16 0.500 0.930 0.963
```

The 10 most intense peaks (2θ from 15° to 90°), in order of rising 2θ:
| two_theta | d/Å | I_rel |
| --- | --- | --- |
| 19.70 | 4.507 | 53.5 |
| 34.35 | 2.611 | 35.5 |
| 34.48 | 2.601 | 71.6 |
| 36.48 | 2.463 | 100.0 |
| 50.99 | 1.791 | 36.1 |
| 51.12 | 1.787 | 25.0 |
| 62.90 | 1.477 | 14.8 |
| 63.08 | 1.474 | 33.2 |
| 63.25 | 1.470 | 17.5 |
| 74.06 | 1.280 | 21.0 |

---

Record 4
Structure and computed powder XRD pattern of Mg4FeO5 (a crystal structure in the Materials Project, relaxed with GGA+U; Cu Kα, 1.54184 Å).
Lines closer than 0.1° are merged.

Cell and atoms:
```
data_Mg4FeO5
_chemical_formula_sum 'Mg8 Fe2 O10'
_cell_length_a 5.215
_cell_length_b 3.037
_cell_length_c 12.515
_cell_angle_alpha 90.00
_cell_angle_beta 96.98
_cell_angle_gamma 90.00
_space_group_name_H-M_alt 'P 1'
_space_group_IT_number 1
_space_group_name_Hall 'P 1'
loop_
_atom_site_label
_atom_site_fract_x
_atom_site_fract_y
_atom_site_fract_z
Mg1 0.092 0.000 0.296
Mg2 0.197 0.500 0.099
Mg3 0.303 0.000 0.901
Mg4 0.408 0.500 0.704
Mg5 0.592 0.500 0.296
Mg6 0.697 0.000 0.099
Mg7 0.803 0.500 0.901
Mg8 0.908 0.000 0.704
Fe1 0.000 0.500 0.500
Fe2 0.500 0.000 0.500
O1 0.000 0.000 0.000
O2 0.106 0.500 0.802
O3 0.217 0.000 0.607
O4 0.283 0.500 0.393
O5 0.394 0.000 0.198
O6 0.500 0.500 0.000
O7 0.606 0.000 0.802
O8 0.717 0.500 0.607
O9 0.783 0.000 0.393
O10 0.894 0.500 0.198
```

The 10 most intense peaks (2θ from 15° to 90°), in order of rising 2θ:
| two_theta | d/Å | I_rel |
| --- | --- | --- |
| 36.16 | 2.484 | 8.5 |
| 36.37 | 2.470 | 25.1 |
| 41.93 | 2.154 | 100.0 |
| 42.67 | 2.119 | 47.8 |
| 60.58 | 1.529 | 13.9 |
| 61.03 | 1.518 | 14.2 |
| 61.27 | 1.513 | 27.7 |
| 61.47 | 1.508 | 27.7 |
| 76.72 | 1.242 | 6.2 |
| 77.31 | 1.234 | 12.6 |

---

Record 5
Structure and computed powder XRD pattern of MgFe2O4 (a crystal structure in the Materials Project, relaxed with GGA+U; Cu Kα, 1.54184 Å).
Lines closer than 0.1° are merged.

Cell and atoms:
```
data_MgFe2O4
_chemical_formula_sum 'Mg6 Fe12 O24'
_cell_length_a 5.983
_cell_length_b 5.983
_cell_length_c 14.631
_cell_angle_alpha 90.02
_cell_angle_beta 90.02
_cell_angle_gamma 60.22
_space_group_name_H-M_alt 'P 1'
_space_group_IT_number 1
_space_group_name_Hall 'P 1'
loop_
_atom_site_label
_atom_site_fract_x
_atom_site_fract_y
_atom_site_fract_z
Mg1 0.000 0.000 0.000
Mg2 0.169 0.169 0.164
Mg3 0.332 0.332 0.707
Mg4 0.339 0.339 0.328
Mg5 0.502 0.502 0.497
Mg6 0.835 0.835 0.833
Fe1 0.007 0.007 0.623
Fe2 0.007 0.500 0.496
Fe3 0.169 0.669 0.165
Fe4 0.339 0.836 0.833
Fe5 0.342 0.342 0.956
Fe6 0.500 0.007 0.496
Fe7 0.664 0.664 0.046
Fe8 0.669 0.169 0.165
Fe9 0.670 0.670 0.669
Fe10 0.674 0.674 0.285
Fe11 0.836 0.339 0.833
Fe12 0.996 0.996 0.371
O1 0.005 0.005 0.754
O2 0.023 0.505 0.242
O3 0.163 0.163 0.913
O4 0.165 0.686 0.912
O5 0.173 0.654 0.417
O6 0.175 0.175 0.415
O7 0.315 0.834 0.088
O8 0.331 0.331 0.569
O9 0.343 0.343 0.091
O10 0.357 0.829 0.579
O11 0.496 0.496 0.240
O12 0.505 0.023 0.242
O13 0.511 0.973 0.751
O14 0.514 0.514 0.752
O15 0.654 0.173 0.417
O16 0.667 0.667 0.913
O17 0.672 0.672 0.419
O18 0.686 0.165 0.912
O19 0.827 0.827 0.579
O20 0.829 0.357 0.579
O21 0.834 0.315 0.088
O22 0.843 0.843 0.090
O23 0.973 0.511 0.751
O24 0.995 0.995 0.238
```

The 10 most intense peaks (2θ from 15° to 90°), in order of rising 2θ:
| two_theta | d/Å | I_rel |
| --- | --- | --- |
| 18.18 | 4.880 | 22.2 |
| 29.89 | 2.989 | 54.2 |
| 35.14 | 2.554 | 100.0 |
| 35.22 | 2.548 | 53.1 |
| 42.74 | 2.116 | 30.7 |
| 53.05 | 1.726 | 13.0 |
| 56.41 | 1.631 | 13.4 |
| 56.55 | 1.627 | 37.9 |
| 61.82 | 1.501 | 12.5 |
| 62.06 | 1.495 | 48.0 |

---

Record 6
Structure and computed powder XRD pattern of MgFeO3 (a crystal structure in the Materials Project, relaxed with GGA+U; Cu Kα, 1.54184 Å).
Lines closer than 0.1° are merged.

Cell and atoms:
```
data_MgFeO3
_chemical_formula_sum 'Mg2 Fe2 O6'
_cell_length_a 5.082
_cell_length_b 5.092
_cell_length_c 5.475
_cell_angle_alpha 117.47
_cell_angle_beta 90.20
_cell_angle_gamma 119.92
_space_group_name_H-M_alt 'P 1'
_space_group_IT_number 1
_space_group_name_Hall 'P 1'
loop_
_atom_site_label
_atom_site_fract_x
_atom_site_fract_y
_atom_site_fract_z
Mg1 0.000 0.000 0.000
Mg2 0.284 0.564 0.849
Fe1 0.488 0.974 0.460
Fe2 0.793 0.583 0.377
O1 0.098 0.503 0.191
O2 0.213 0.068 0.667
O3 0.406 0.088 0.186
O4 0.597 0.808 0.666
O5 0.687 0.782 0.188
O6 0.854 0.450 0.667
```

The 10 most intense peaks (2θ from 15° to 90°), in order of rising 2θ:
| two_theta | d/Å | I_rel |
| --- | --- | --- |
| 19.18 | 4.628 | 61.0 |
| 21.15 | 4.201 | 45.3 |
| 23.88 | 3.726 | 50.9 |
| 32.77 | 2.733 | 43.0 |
| 32.88 | 2.724 | 85.4 |
| 35.27 | 2.545 | 100.0 |
| 40.42 | 2.232 | 61.3 |
| 53.50 | 1.713 | 37.4 |
| 53.67 | 1.708 | 37.2 |
| 63.35 | 1.468 | 40.0 |

---

Record 7
Structure and computed powder XRD pattern of MgFe2O4 (a crystal structure in the Materials Project, relaxed with GGA+U; Cu Kα, 1.54184 Å).
Lines closer than 0.1° are merged.

Cell and atoms:
```
data_MgFe2O4
_chemical_formula_sum 'Mg1 Fe2 O4'
_cell_length_a 5.614
_cell_length_b 5.614
_cell_length_c 5.066
_cell_angle_alpha 104.79
_cell_angle_beta 104.79
_cell_angle_gamma 35.08
_space_group_name_H-M_alt 'P 1'
_space_group_IT_number 1
_space_group_name_Hall 'P 1'
loop_
_atom_site_label
_atom_site_fract_x
_atom_site_fract_y
_atom_site_fract_z
Mg1 0.000 0.000 0.000
Fe1 0.365 0.365 0.500
Fe2 0.635 0.635 0.500
O1 0.169 0.169 0.329
O2 0.454 0.454 0.223
O3 0.546 0.546 0.777
O4 0.831 0.831 0.671
```

The 10 most intense peaks (2θ from 15° to 90°), in order of rising 2θ:
| two_theta | d/Å | I_rel |
| --- | --- | --- |
| 18.18 | 4.881 | 100.0 |
| 21.45 | 4.142 | 23.8 |
| 27.74 | 3.216 | 31.2 |
| 32.03 | 2.795 | 70.9 |
| 34.70 | 2.586 | 26.5 |
| 34.79 | 2.579 | 14.3 |
| 43.88 | 2.063 | 36.2 |
| 47.78 | 1.904 | 37.9 |
| 54.21 | 1.692 | 18.5 |
| 58.64 | 1.574 | 19.0 |

---

Record 8
Structure and computed powder XRD pattern of Mg10Fe9O24 (a crystal structure in the Materials Project, relaxed with GGA+U; Cu Kα, 1.54184 Å).
Lines closer than 0.1° are merged.

Cell and atoms:
```
data_Mg10Fe9O24
_chemical_formula_sum 'Mg10 Fe9 O24'
_cell_length_a 5.968
_cell_length_b 6.110
_cell_length_c 14.704
_cell_angle_alpha 90.84
_cell_angle_beta 90.39
_cell_angle_gamma 118.76
_space_group_name_H-M_alt 'P 1'
_space_group_IT_number 1
_space_group_name_Hall 'P 1'
loop_
_atom_site_label
_atom_site_fract_x
_atom_site_fract_y
_atom_site_fract_z
Mg1 0.000 0.000 0.000
Mg2 0.000 0.017 0.620
Mg3 0.175 0.868 0.445
Mg4 0.294 0.592 0.670
Mg5 0.332 0.686 0.285
Mg6 0.500 0.009 0.618
Mg7 0.501 0.516 0.120
Mg8 0.666 0.348 0.955
Mg9 0.674 0.867 0.444
Mg10 0.825 0.164 0.792
Fe1 0.000 0.034 0.241
Fe2 0.177 0.371 0.453
Fe3 0.313 0.158 0.792
Fe4 0.324 0.684 0.908
Fe5 0.503 0.024 0.118
Fe6 0.663 0.341 0.331
Fe7 0.706 0.438 0.567
Fe8 0.826 0.677 0.782
Fe9 0.995 0.516 0.118
O1 0.012 0.047 0.373
O2 0.016 0.527 0.374
O3 0.134 0.275 0.716
O4 0.168 0.845 0.702
O5 0.169 0.375 0.198
O6 0.175 0.848 0.196
O7 0.333 0.686 0.041
O8 0.341 0.694 0.534
O9 0.344 0.199 0.539
O10 0.361 0.186 0.043
O11 0.490 0.525 0.373
O12 0.492 0.006 0.368
O13 0.501 0.028 0.867
O14 0.504 0.503 0.864
O15 0.650 0.852 0.198
O16 0.661 0.343 0.701
O17 0.664 0.839 0.701
O18 0.667 0.347 0.198
O19 0.823 0.192 0.044
O20 0.827 0.650 0.043
O21 0.837 0.202 0.540
O22 0.868 0.752 0.525
O23 0.978 0.505 0.863
O24 0.991 0.987 0.863
```

The 10 most intense peaks (2θ from 15° to 90°), in order of rising 2θ:
| two_theta | d/Å | I_rel |
| --- | --- | --- |
| 18.12 | 4.897 | 43.2 |
| 29.87 | 2.991 | 84.3 |
| 34.13 | 2.627 | 60.0 |
| 34.76 | 2.581 | 100.0 |
| 35.03 | 2.562 | 78.7 |
| 35.11 | 2.556 | 34.3 |
| 42.12 | 2.145 | 66.1 |
| 42.54 | 2.125 | 31.8 |
| 61.98 | 1.497 | 32.8 |
| 62.21 | 1.492 | 62.0 |

---

Record 9
Structure and computed powder XRD pattern of MgFe2O4 (a crystal structure in the Materials Project, relaxed with GGA+U; Cu Kα, 1.54184 Å).
Lines closer than 0.1° are merged.

Cell and atoms:
```
data_MgFe2O4
_chemical_formula_sum 'Mg2 Fe4 O8'
_cell_length_a 6.041
_cell_length_b 6.041
_cell_length_c 6.041
_cell_angle_alpha 60.00
_cell_angle_beta 60.00
_cell_angle_gamma 60.00
_space_group_name_H-M_alt 'P 1'
_space_group_IT_number 1
_space_group_name_Hall 'P 1'
loop_
_atom_site_label
_atom_site_fract_x
_atom_site_fract_y
_atom_site_fract_z
Mg1 0.125 0.125 0.125
Mg2 0.875 0.875 0.875
Fe1 0.000 0.500 0.500
Fe2 0.500 0.000 0.500
Fe3 0.500 0.500 0.000
Fe4 0.500 0.500 0.500
O1 0.260 0.260 0.260
O2 0.260 0.260 0.719
O3 0.260 0.719 0.260
O4 0.281 0.740 0.740
O5 0.719 0.260 0.260
O6 0.740 0.281 0.740
O7 0.740 0.740 0.281
O8 0.740 0.740 0.740
```

The 10 most intense peaks (2θ from 15° to 90°), in order of rising 2θ:
| two_theta | d/Å | I_rel |
| --- | --- | --- |
| 17.99 | 4.932 | 73.2 |
| 29.58 | 3.020 | 10.0 |
| 34.83 | 2.576 | 100.0 |
| 36.43 | 2.466 | 15.0 |
| 42.32 | 2.136 | 59.0 |
| 55.93 | 1.644 | 38.6 |
| 61.39 | 1.510 | 58.1 |
| 64.54 | 1.444 | 10.5 |
| 72.56 | 1.303 | 10.3 |
| 87.76 | 1.112 | 16.4 |

---

Record 10
Structure and computed powder XRD pattern of Mg3FeO4 (a crystal structure in the Materials Project, relaxed with GGA+U; Cu Kα, 1.54184 Å).
Lines closer than 0.1° are merged.

Cell and atoms:
```
data_Mg3FeO4
_chemical_formula_sum 'Mg6 Fe2 O8'
_cell_length_a 3.044
_cell_length_b 5.215
_cell_length_c 10.101
_cell_angle_alpha 94.02
_cell_angle_beta 98.66
_cell_angle_gamma 90.08
_space_group_name_H-M_alt 'P 1'
_space_group_IT_number 1
_space_group_name_Hall 'P 1'
loop_
_atom_site_label
_atom_site_fract_x
_atom_site_fract_y
_atom_site_fract_z
Mg1 0.000 0.000 0.000
Mg2 0.123 0.372 0.246
Mg3 0.377 0.127 0.753
Mg4 0.500 0.500 0.000
Mg5 0.623 0.873 0.247
Mg6 0.877 0.628 0.754
Fe1 0.250 0.748 0.500
Fe2 0.750 0.252 0.500
O1 0.062 0.686 0.123
O2 0.184 0.052 0.367
O3 0.316 0.448 0.633
O4 0.438 0.814 0.877
O5 0.562 0.186 0.123
O6 0.684 0.552 0.367
O7 0.816 0.948 0.633
O8 0.938 0.314 0.877
```

The 10 most intense peaks (2θ from 15° to 90°), in order of rising 2θ:
| two_theta | d/Å | I_rel |
| --- | --- | --- |
| 17.81 | 4.980 | 11.0 |
| 36.07 | 2.490 | 9.7 |
| 36.32 | 2.474 | 28.4 |
| 41.86 | 2.158 | 100.0 |
| 42.60 | 2.122 | 47.6 |
| 60.52 | 1.530 | 14.1 |
| 60.85 | 1.522 | 14.2 |
| 61.09 | 1.517 | 27.7 |
| 61.43 | 1.509 | 27.3 |
| 77.09 | 1.237 | 12.5 |